Simulated PXRD pattern
Compound: SrCuAgSe2
Radiation: Cu Kα (λ = 1.5418 Å)
Structure: the PBE geometry in Alexandria
Kinematic intensities with the Lorentz-polarization factor, no thermal factor.

Most intense lines, 10° ≤ 2θ ≤ 90°, by angle:
- 2θ = 10.6°, d = 8.319 Å, rel. 255
- 2θ = 27.3°, d = 3.264 Å, rel. 555
- 2θ = 27.8°, d = 3.208 Å, rel. 469
- 2θ = 29.2°, d = 3.059 Å, rel. 254
- 2θ = 34.0°, d = 2.636 Å, rel. 1000
- 2θ = 39.4°, d = 2.289 Å, rel. 218
- 2θ = 42.2°, d = 2.139 Å, rel. 515
- 2θ = 45.8°, d = 1.981 Å, rel. 475
- 2θ = 46.0°, d = 1.972 Å, rel. 240
- 2θ = 51.1°, d = 1.789 Å, rel. 205

Structure:
a b c (Å): 6.940 6.940 9.886
angles (deg): 120.93 120.93 35.91
Sites, in units of the cell vectors:
Sr (0.199, 0.199, 0.161)
Sr (0.801, 0.801, 0.839)
Cu (0.045, 0.045, 0.728)
Cu (0.955, 0.955, 0.272)
Ag (0.372, 0.372, 0.604)
Ag (0.628, 0.628, 0.396)
Se (0.156, 0.156, 0.585)
Se (0.417, 0.417, 0.117)
Se (0.583, 0.583, 0.883)
Se (0.844, 0.844, 0.415)

***

Simulated PXRD pattern
Compound: UTl2SiO6
Radiation: Cu Kα (λ = 1.5418 Å)
Structure: the PBE geometry in Alexandria
Kinematic intensities with the Lorentz-polarization factor, no thermal factor.

Most intense lines, 10° ≤ 2θ ≤ 90°, by angle:
- 2θ = 19.2°, d = 4.634 Å, rel. 189
- 2θ = 31.5°, d = 2.838 Å, rel. 1000
- 2θ = 37.2°, d = 2.420 Å, rel. 138
- 2θ = 38.9°, d = 2.317 Å, rel. 55
- 2θ = 45.2°, d = 2.007 Å, rel. 268
- 2θ = 49.5°, d = 1.841 Å, rel. 71
- 2θ = 56.1°, d = 1.638 Å, rel. 407
- 2θ = 65.8°, d = 1.419 Å, rel. 170
- 2θ = 74.8°, d = 1.269 Å, rel. 186
- 2θ = 83.4°, d = 1.158 Å, rel. 59

Structure:
a b c (Å): 5.675 5.675 5.675
angles (deg): 60.00 60.00 60.00
Sites, in units of the cell vectors:
U (0.000, 0.000, 0.000)
Tl (0.250, 0.250, 0.250)
Tl (0.750, 0.750, 0.750)
Si (0.500, 0.500, 0.500)
O (0.269, 0.269, 0.731)
O (0.269, 0.731, 0.269)
O (0.269, 0.731, 0.731)
O (0.731, 0.269, 0.269)
O (0.731, 0.269, 0.731)
O (0.731, 0.731, 0.269)

***

Simulated PXRD pattern
Compound: Cs2CaNpF6
Radiation: Cu Kα (λ = 1.5418 Å)
Structure: the PBE geometry in Alexandria
Kinematic intensities with the Lorentz-polarization factor, no thermal factor.

Most intense lines, 10° ≤ 2θ ≤ 90°, by angle:
- 2θ = 16.1°, d = 5.520 Å, rel. 195
- 2θ = 16.4°, d = 5.402 Å, rel. 225
- 2θ = 26.0°, d = 3.423 Å, rel. 233
- 2θ = 26.8°, d = 3.332 Å, rel. 1000
- 2θ = 26.9°, d = 3.312 Å, rel. 256
- 2θ = 37.8°, d = 2.380 Å, rel. 316
- 2θ = 38.6°, d = 2.333 Å, rel. 171
- 2θ = 46.4°, d = 1.958 Å, rel. 164
- 2θ = 47.4°, d = 1.916 Å, rel. 212
- 2θ = 55.1°, d = 1.666 Å, rel. 202

Structure:
a b c (Å): 6.625 9.331 6.846
angles (deg): 90.00 90.00 90.00
Sites, in units of the cell vectors:
Cs (0.250, 0.002, 0.226)
Cs (0.250, 0.498, 0.226)
Cs (0.750, 0.502, 0.774)
Cs (0.750, 0.998, 0.774)
Ca (0.250, 0.750, 0.763)
Ca (0.750, 0.250, 0.237)
Np (0.250, 0.250, 0.711)
Np (0.750, 0.750, 0.289)
F (0.004, 0.250, 0.010)
F (0.014, 0.750, 0.513)
F (0.250, 0.504, 0.779)
F (0.250, 0.996, 0.779)
F (0.486, 0.750, 0.513)
F (0.496, 0.250, 0.010)
F (0.504, 0.750, 0.990)
F (0.514, 0.250, 0.487)
F (0.750, 0.004, 0.221)
F (0.750, 0.496, 0.221)
F (0.986, 0.250, 0.487)
F (0.996, 0.750, 0.990)

***

Simulated PXRD pattern
Compound: Ba2Sb3O8
Radiation: Cu Kα (λ = 1.5418 Å)
Structure: the PBE geometry in Alexandria
Kinematic intensities with the Lorentz-polarization factor, no thermal factor.

Most intense lines, 10° ≤ 2θ ≤ 90°, by angle:
- 2θ = 26.4°, d = 3.372 Å, rel. 454
- 2θ = 30.5°, d = 2.929 Å, rel. 646
- 2θ = 31.6°, d = 2.829 Å, rel. 1000
- 2θ = 38.8°, d = 2.324 Å, rel. 170
- 2θ = 43.7°, d = 2.071 Å, rel. 433
- 2θ = 50.1°, d = 1.820 Å, rel. 269
- 2θ = 55.0°, d = 1.671 Å, rel. 419
- 2θ = 59.8°, d = 1.546 Å, rel. 182
- 2θ = 68.5°, d = 1.370 Å, rel. 156
- 2θ = 84.8°, d = 1.143 Å, rel. 174

Structure:
a b c (Å): 4.142 4.142 11.619
angles (deg): 90.00 90.00 90.00
Sites, in units of the cell vectors:
Ba (0.000, 0.000, 0.188)
Ba (0.000, 0.000, 0.812)
Sb (0.500, 0.500, 0.000)
Sb (0.500, 0.500, 0.371)
Sb (0.500, 0.500, 0.629)
O (0.000, 0.500, 0.000)
O (0.000, 0.500, 0.346)
O (0.000, 0.500, 0.654)
O (0.500, 0.000, 0.000)
O (0.500, 0.000, 0.346)
O (0.500, 0.000, 0.654)
O (0.500, 0.500, 0.176)
O (0.500, 0.500, 0.824)

***

Simulated PXRD pattern
Compound: Ac2DyH8
Radiation: Cu Kα (λ = 1.5418 Å)
Structure: the PBE geometry in Alexandria
Kinematic intensities with the Lorentz-polarization factor, no thermal factor.

Most intense lines, 10° ≤ 2θ ≤ 90°, by angle:
- 2θ = 27.6°, d = 3.237 Å, rel. 1000
- 2θ = 31.4°, d = 2.852 Å, rel. 365
- 2θ = 33.0°, d = 2.712 Å, rel. 156
- 2θ = 44.9°, d = 2.017 Å, rel. 142
- 2θ = 46.2°, d = 1.965 Å, rel. 262
- 2θ = 53.5°, d = 1.712 Å, rel. 330
- 2θ = 55.7°, d = 1.650 Å, rel. 150
- 2θ = 56.9°, d = 1.618 Å, rel. 137
- 2θ = 74.3°, d = 1.277 Å, rel. 97
- 2θ = 89.4°, d = 1.096 Å, rel. 83

Structure:
a b c (Å): 6.927 6.927 6.927
angles (deg): 146.12 133.90 58.43
Sites, in units of the cell vectors:
Ac (0.168, 0.168, 0.000)
Ac (0.832, 0.832, 0.000)
Dy (0.500, 0.500, 0.000)
H (0.110, 0.353, 0.757)
H (0.273, 0.000, 0.273)
H (0.317, 0.817, 0.500)
H (0.405, 0.647, 0.757)
H (0.595, 0.353, 0.243)
H (0.683, 0.183, 0.500)
H (0.727, 0.000, 0.727)
H (0.890, 0.647, 0.243)

***

Simulated PXRD pattern
Compound: La8PrNd5
Radiation: Cu Kα (λ = 1.5418 Å)
Structure: the PBE geometry in Alexandria
Kinematic intensities with the Lorentz-polarization factor, no thermal factor.

Most intense lines, 10° ≤ 2θ ≤ 90°, by angle:
- 2θ = 26.9°, d = 3.318 Å, rel. 652
- 2θ = 28.4°, d = 3.146 Å, rel. 700
- 2θ = 28.6°, d = 3.126 Å, rel. 824
- 2θ = 30.7°, d = 2.915 Å, rel. 275
- 2θ = 32.5°, d = 2.755 Å, rel. 1000
- 2θ = 33.3°, d = 2.690 Å, rel. 432
- 2θ = 33.8°, d = 2.654 Å, rel. 490
- 2θ = 53.1°, d = 1.724 Å, rel. 221
- 2θ = 59.1°, d = 1.563 Å, rel. 215
- 2θ = 60.3°, d = 1.534 Å, rel. 224

Structure:
a b c (Å): 8.762 8.762 8.762
angles (deg): 111.32 111.32 105.83
Sites, in units of the cell vectors:
La (0.181, 0.417, 0.611)
La (0.322, 0.221, 0.245)
La (0.429, 0.819, 0.236)
La (0.583, 0.193, 0.764)
La (0.779, 0.024, 0.102)
La (0.807, 0.571, 0.389)
La (0.923, 0.678, 0.898)
La (0.976, 0.077, 0.755)
Pr (0.500, 0.500, 0.000)
Nd (0.073, 0.472, 0.190)
Nd (0.117, 0.927, 0.399)
Nd (0.282, 0.883, 0.810)
Nd (0.528, 0.718, 0.601)
Nd (0.750, 0.250, 0.500)

***

Simulated PXRD pattern
Compound: ZrRh3
Radiation: Cu Kα (λ = 1.5418 Å)
Structure: the PBE geometry in Alexandria
Kinematic intensities with the Lorentz-polarization factor, no thermal factor.

Most intense lines, 10° ≤ 2θ ≤ 90°, by angle:
- 2θ = 39.2°, d = 2.297 Å, rel. 1000
- 2θ = 45.4°, d = 2.000 Å, rel. 328
- 2θ = 46.1°, d = 1.969 Å, rel. 156
- 2θ = 66.1°, d = 1.414 Å, rel. 104
- 2θ = 66.7°, d = 1.403 Å, rel. 202
- 2θ = 79.6°, d = 1.204 Å, rel. 242
- 2θ = 80.7°, d = 1.191 Å, rel. 117
- 2θ = 84.3°, d = 1.149 Å, rel. 105

Structure:
a b c (Å): 4.848 4.848 4.848
angles (deg): 131.28 131.28 71.37
Sites, in units of the cell vectors:
Zr (0.000, 0.000, 0.000)
Rh (0.250, 0.750, 0.500)
Rh (0.500, 0.500, 0.000)
Rh (0.750, 0.250, 0.500)

***

Simulated PXRD pattern
Compound: Be2CdAu
Radiation: Cu Kα (λ = 1.5418 Å)
Structure: the PBE geometry in Alexandria
Kinematic intensities with the Lorentz-polarization factor, no thermal factor.

Most intense lines, 10° ≤ 2θ ≤ 90°, by angle:
- 2θ = 14.9°, d = 5.960 Å, rel. 352
- 2θ = 28.6°, d = 3.118 Å, rel. 1000
- 2θ = 29.6°, d = 3.016 Å, rel. 919
- 2θ = 30.0°, d = 2.980 Å, rel. 901
- 2θ = 41.7°, d = 2.168 Å, rel. 859
- 2θ = 41.9°, d = 2.154 Å, rel. 836
- 2θ = 42.4°, d = 2.130 Å, rel. 404
- 2θ = 42.9°, d = 2.110 Å, rel. 393
- 2θ = 52.0°, d = 1.759 Å, rel. 391
- 2θ = 52.4°, d = 1.747 Å, rel. 382

Structure:
a b c (Å): 3.016 3.118 5.961
angles (deg): 90.00 90.54 90.00
Sites, in units of the cell vectors:
Be (0.002, 0.000, 0.210)
Be (0.998, 0.000, 0.790)
Cd (0.500, 0.500, 0.500)
Au (0.500, 0.500, 0.000)

***

Simulated PXRD pattern
Compound: Ho2Ag2Pt
Radiation: Cu Kα (λ = 1.5418 Å)
Structure: the PBE geometry in Alexandria
Kinematic intensities with the Lorentz-polarization factor, no thermal factor.

Most intense lines, 10° ≤ 2θ ≤ 90°, by angle:
- 2θ = 24.6°, d = 3.620 Å, rel. 348
- 2θ = 29.1°, d = 3.071 Å, rel. 298
- 2θ = 32.1°, d = 2.791 Å, rel. 836
- 2θ = 39.0°, d = 2.307 Å, rel. 531
- 2θ = 40.2°, d = 2.241 Å, rel. 1000
- 2θ = 42.9°, d = 2.108 Å, rel. 221
- 2θ = 52.4°, d = 1.747 Å, rel. 214
- 2θ = 57.3°, d = 1.607 Å, rel. 170
- 2θ = 68.0°, d = 1.378 Å, rel. 196
- 2θ = 73.2°, d = 1.294 Å, rel. 169

Structure:
a b c (Å): 7.176 7.176 7.176
angles (deg): 36.39 36.39 36.39
Sites, in units of the cell vectors:
Ho (0.100, 0.100, 0.100)
Ho (0.900, 0.900, 0.900)
Ag (0.353, 0.353, 0.353)
Ag (0.647, 0.647, 0.647)
Pt (0.500, 0.500, 0.500)

***

Simulated PXRD pattern
Compound: In6Cu6Sn
Radiation: Cu Kα (λ = 1.5418 Å)
Structure: the PBE geometry in Alexandria
Kinematic intensities with the Lorentz-polarization factor, no thermal factor.

Most intense lines, 10° ≤ 2θ ≤ 90°, by angle:
- 2θ = 32.2°, d = 2.777 Å, rel. 350
- 2θ = 33.0°, d = 2.712 Å, rel. 833
- 2θ = 37.7°, d = 2.386 Å, rel. 650
- 2θ = 38.4°, d = 2.344 Å, rel. 1000
- 2θ = 38.6°, d = 2.331 Å, rel. 489
- 2θ = 42.6°, d = 2.124 Å, rel. 567
- 2θ = 43.4°, d = 2.085 Å, rel. 341
- 2θ = 61.6°, d = 1.505 Å, rel. 242
- 2θ = 69.3°, d = 1.356 Å, rel. 371
- 2θ = 69.8°, d = 1.348 Å, rel. 321

Structure:
a b c (Å): 7.153 7.153 7.153
angles (deg): 134.31 98.67 98.67
Sites, in units of the cell vectors:
In (0.162, 0.500, 0.662)
In (0.163, 0.163, 0.000)
In (0.324, 0.000, 0.324)
In (0.676, 0.000, 0.676)
In (0.837, 0.837, 0.000)
In (0.838, 0.500, 0.338)
Cu (0.000, 0.000, 0.500)
Cu (0.000, 0.500, 0.000)
Cu (0.253, 0.753, 0.500)
Cu (0.500, 0.000, 0.000)
Cu (0.500, 0.500, 0.500)
Cu (0.747, 0.247, 0.500)
Sn (0.500, 0.500, 0.000)

***

Simulated PXRD pattern
Compound: Co3Pb5
Radiation: Cu Kα (λ = 1.5418 Å)
Structure: the PBE geometry in Alexandria
Kinematic intensities with the Lorentz-polarization factor, no thermal factor.

Most intense lines, 10° ≤ 2θ ≤ 90°, by angle:
- 2θ = 18.1°, d = 4.906 Å, rel. 159
- 2θ = 28.4°, d = 3.142 Å, rel. 191
- 2θ = 30.2°, d = 2.963 Å, rel. 165
- 2θ = 31.3°, d = 2.862 Å, rel. 280
- 2θ = 35.4°, d = 2.536 Å, rel. 1000
- 2θ = 36.3°, d = 2.472 Å, rel. 150
- 2θ = 36.6°, d = 2.453 Å, rel. 227
- 2θ = 48.9°, d = 1.862 Å, rel. 129
- 2θ = 58.3°, d = 1.582 Å, rel. 186
- 2θ = 65.2°, d = 1.431 Å, rel. 156

Structure:
a b c (Å): 7.539 7.539 3.463
angles (deg): 90.00 90.00 98.80
Sites, in units of the cell vectors:
Co (0.000, 0.000, 0.000)
Co (0.151, 0.849, 0.500)
Co (0.849, 0.151, 0.500)
Pb (0.000, 0.500, 0.000)
Pb (0.219, 0.219, 0.500)
Pb (0.500, 0.000, 0.000)
Pb (0.500, 0.500, 0.000)
Pb (0.781, 0.781, 0.500)

***

Simulated PXRD pattern
Compound: In2SnGeBr6
Radiation: Cu Kα (λ = 1.5418 Å)
Structure: the PBE geometry in Alexandria
Kinematic intensities with the Lorentz-polarization factor, no thermal factor.

Most intense lines, 10° ≤ 2θ ≤ 90°, by angle:
- 2θ = 14.9°, d = 5.943 Å, rel. 397
- 2θ = 21.5°, d = 4.126 Å, rel. 564
- 2θ = 21.9°, d = 4.054 Å, rel. 200
- 2θ = 26.6°, d = 3.349 Å, rel. 554
- 2θ = 31.2°, d = 2.866 Å, rel. 1000
- 2θ = 34.0°, d = 2.638 Å, rel. 491
- 2θ = 38.2°, d = 2.354 Å, rel. 258
- 2θ = 43.9°, d = 2.063 Å, rel. 208
- 2θ = 44.7°, d = 2.027 Å, rel. 363
- 2θ = 46.8°, d = 1.941 Å, rel. 391

Structure:
a b c (Å): 8.107 8.107 5.943
angles (deg): 90.00 90.00 90.00
Sites, in units of the cell vectors:
In (0.000, 0.500, 0.000)
In (0.500, 0.000, 0.000)
Sn (0.000, 0.000, 0.655)
Ge (0.500, 0.500, 0.649)
Br (0.000, 0.000, 0.191)
Br (0.256, 0.256, 0.715)
Br (0.256, 0.744, 0.715)
Br (0.500, 0.500, 0.232)
Br (0.744, 0.256, 0.715)
Br (0.744, 0.744, 0.715)